Structure and simulated XRD peak list of Dy2S2O (a structure optimized by DFT (PBE); a wavelength of 1.5418 Å).

Main lines, sorted by position (5° ≤ 2θ ≤ 70°):
| d_spacing | 2theta | I (rel.) | h k l |
| --- | --- | --- | --- |
| 7.816 | 11.32 | 18.4 | 2 0 0 |
| 3.427 | 26.00 | 32.7 | 2 1 0 |
| 3.379 | 26.38 | 100.0 | 4 0 1 |
| 3.055 | 29.23 | 75.0 | 2 1 1 |
| 2.530 | 35.48 | 26.5 | 4 1 1 |
| 2.404 | 37.41 | 61.4 | 2 1 2 |
| 1.907 | 47.70 | 18.2 | 0 2 0 |
| 1.660 | 55.33 | 27.1 | 4 2 1 |

```
data_Dy2S2O
_chemical_formula_sum 'Dy8 S8 O4'
_symmetry_space_group_name_H-M 'P n m a'
_symmetry_Int_Tables_number 62
_symmetry_space_group_name_Hall '-P 2ac 2n'
_cell_length_a 15.6311
_cell_length_b 3.8133
_cell_length_c 6.7456
_cell_angle_alpha 90.00
_cell_angle_beta 90.00
_cell_angle_gamma 90.00
loop_
_atom_site_label
_atom_site_fract_x
_atom_site_fract_y
_atom_site_fract_z
Dy1 0.0406 0.2500 0.2064
Dy2 0.1646 0.2500 0.7560
S1 0.0999 0.7500 0.5132
S2 0.1813 0.7500 0.0460
O1 0.0308 0.2500 0.8685
```